Entry 1:
Calculated X-ray diffraction stick pattern of Ni2Sb3 for a wavelength of 1.5418 Å, from DFT lattice parameters and positions (GGA-PBE).
Kinematic intensities with the Lorentz-polarization factor, no thermal factor.

Largest 6 diffraction maxima, in order of falling intensity, 5 to 70 degrees two-theta:
2θ (°)	intensity
31.8	100
46.9	41
44.2	39
57.8	18
60.3	16
66.4	11

Structure:
```
Ni2Sb3
1.0
3.3537 1.9363 5.1762
-3.3537 1.9363 5.1762
0.0000 -3.8726 5.1762
Ni Sb
4 6
Cartesian
0.0000 0.0000 2.5360
0.0000 0.0000 5.2282
0.0000 0.0000 10.3002
0.0000 0.0000 12.9925
-2.2265 0.0162 6.4702
-1.1273 -1.9201 9.0583
1.0992 -1.9363 6.4702
-1.0992 1.9363 9.0583
1.1273 1.9201 6.4702
2.2265 -0.0162 9.0583
```



Entry 2:
Calculated X-ray diffraction stick pattern of Ni3Sb for a wavelength of 1.5418 Å, from DFT lattice parameters and positions (GGA-PBE).
Kinematic intensities with the Lorentz-polarization factor, no thermal factor.

Largest 6 diffraction maxima, in order of falling intensity, 5 to 70 degrees two-theta:
2θ (°)	intensity
47.1	100
42.8	65
38.1	47
26.7	21
62.1	4
54.9	3

Structure:
```
Ni3Sb
1.0
4.7276 0.0000 0.0000
0.0000 4.7276 0.0000
0.0000 0.0000 4.7276
Ni Sb
6 2
Cartesian
0.0000 1.1819 2.3638
0.0000 3.5457 2.3638
1.1819 2.3638 0.0000
2.3638 0.0000 1.1819
2.3638 0.0000 3.5457
3.5457 2.3638 0.0000
0.0000 0.0000 0.0000
2.3638 2.3638 2.3638
```